1.
Calculated X-ray powder pattern
Compound: BeTlAu2
Radiation: Cu Kα, 1.54184 Å
Structure: DFT lattice parameters and positions (GGA-PBE)
No peak broadening, texture or thermal motion is included.

Atomic structure:
a = 7.085 Å, b = 7.085 Å, c = 7.085 Å
α = 30.07°, β = 30.07°, γ = 30.07°
Sites, in units of the cell vectors:
Be  0.000  0.000  0.000
Tl  0.166  0.166  0.166
Au  0.388  0.388  0.388
Au  0.612  0.612  0.612

Main lines, in order of falling intensity (10° ≤ 2θ ≤ 80°):
d 2.696, 2θ = 33.2°, rel. 100; d 2.504, 2θ = 35.9°, rel. 83; d 1.838, 2θ = 49.6°, rel. 48; d 3.145, 2θ = 28.4°, rel. 41; d 1.424, 2θ = 65.5°, rel. 40; d 2.253, 2θ = 40.0°, rel. 28; d 1.519, 2θ = 61.0°, rel. 18; d 1.482, 2θ = 62.7°, rel. 17; d 3.038, 2θ = 29.4°, rel. 17; d 1.401, 2θ = 66.8°, rel. 15; d 1.983, 2θ = 45.8°, rel. 13; d 1.318, 2θ = 71.6°, rel. 11

=====

2.
Calculated X-ray powder pattern
Compound: Sc11Ru4
Radiation: Cu Kα, 1.54184 Å
Structure: DFT lattice parameters and positions (GGA-PBE)
No peak broadening, texture or thermal motion is included.

Atomic structure:
a = 9.448 Å, b = 9.448 Å, c = 9.448 Å
α = 60.00°, β = 60.00°, γ = 60.00°
Sites, in units of the cell vectors:
Sc  0.150  0.617  0.617
Sc  0.156  0.156  0.156
Sc  0.156  0.156  0.531
Sc  0.156  0.531  0.156
Sc  0.198  0.198  0.802
Sc  0.198  0.802  0.198
Sc  0.198  0.802  0.802
Sc  0.383  0.383  0.383
Sc  0.383  0.383  0.850
Sc  0.383  0.850  0.383
Sc  0.469  0.844  0.844
Sc  0.531  0.156  0.156
Sc  0.617  0.150  0.617
Sc  0.617  0.617  0.150
Sc  0.617  0.617  0.617
Sc  0.802  0.198  0.198
Sc  0.802  0.198  0.802
Sc  0.802  0.802  0.198
Sc  0.844  0.469  0.844
Sc  0.844  0.844  0.469
Sc  0.844  0.844  0.844
Sc  0.850  0.383  0.383
Ru  0.000  0.000  0.000
Ru  0.000  0.000  0.500
Ru  0.000  0.500  0.000
Ru  0.000  0.500  0.500
Ru  0.500  0.000  0.000
Ru  0.500  0.000  0.500
Ru  0.500  0.500  0.000
Ru  0.500  0.500  0.500

Main lines, in order of falling intensity (10° ≤ 2θ ≤ 80°):
d 2.362, 2θ = 38.1°, rel. 100; d 3.857, 2θ = 23.1°, rel. 40; d 2.014, 2θ = 45.0°, rel. 33; d 2.572, 2θ = 34.9°, rel. 23; d 1.364, 2θ = 68.8°, rel. 18; d 1.286, 2θ = 73.7°, rel. 13; d 1.533, 2θ = 60.4°, rel. 12; d 1.670, 2θ = 55.0°, rel. 12; d 3.341, 2θ = 26.7°, rel. 11; d 1.494, 2θ = 62.1°, rel. 7; d 1.740, 2θ = 52.6°, rel. 5; d 1.292, 2θ = 73.3°, rel. 4

=====

3.
Calculated X-ray powder pattern
Compound: Y2CdIn9
Radiation: Cu Kα, 1.54184 Å
Structure: DFT lattice parameters and positions (GGA-PBE)
No peak broadening, texture or thermal motion is included.

Atomic structure:
a = 4.681 Å, b = 4.681 Å, c = 13.922 Å
α = 90.00°, β = 90.00°, γ = 90.00°
Sites, in units of the cell vectors:
Y  0.000  0.000  0.164
Y  0.000  0.000  0.836
Cd  0.000  0.000  0.500
In  0.000  0.500  0.000
In  0.000  0.500  0.337
In  0.000  0.500  0.663
In  0.500  0.000  0.000
In  0.500  0.000  0.337
In  0.500  0.000  0.663
In  0.500  0.500  0.165
In  0.500  0.500  0.500
In  0.500  0.500  0.835

Main lines, in order of falling intensity (10° ≤ 2θ ≤ 80°):
d 2.695, 2θ = 33.2°, rel. 100; d 2.341, 2θ = 38.5°, rel. 33; d 1.410, 2θ = 66.3°, rel. 26; d 1.648, 2θ = 55.8°, rel. 22; d 2.320, 2θ = 38.8°, rel. 16; d 1.401, 2θ = 66.7°, rel. 12; d 1.655, 2θ = 55.5°, rel. 11; d 1.347, 2θ = 69.8°, rel. 11

=====

4.
Calculated X-ray powder pattern
Compound: CsTiCuI6
Radiation: Cu Kα, 1.54184 Å
Structure: DFT lattice parameters and positions (GGA-PBE)
No peak broadening, texture or thermal motion is included.

Atomic structure:
a = 7.019 Å, b = 7.869 Å, c = 8.396 Å
α = 87.41°, β = 84.20°, γ = 63.52°
Sites, in units of the cell vectors:
Cs  0.000  0.000  0.000
Ti  0.707  0.585  0.500
Cu  0.434  0.134  0.501
I  0.061  0.323  0.656
I  0.373  0.877  0.349
I  0.459  0.556  0.758
I  0.616  0.323  0.344
I  0.751  0.876  0.651
I  0.986  0.556  0.242

Main lines, in order of falling intensity (10° ≤ 2θ ≤ 80°):
d 3.457, 2θ = 25.8°, rel. 100; d 3.610, 2θ = 24.7°, rel. 67; d 8.353, 2θ = 10.6°, rel. 60; d 2.933, 2θ = 30.5°, rel. 51; d 3.341, 2θ = 26.7°, rel. 45; d 2.555, 2θ = 35.1°, rel. 38; d 4.803, 2θ = 18.5°, rel. 37; d 3.592, 2θ = 24.8°, rel. 32; d 5.240, 2θ = 16.9°, rel. 32; d 3.629, 2θ = 24.5°, rel. 27; d 1.796, 2θ = 50.8°, rel. 23; d 2.184, 2θ = 41.3°, rel. 22

=====

5.
Calculated X-ray powder pattern
Compound: Pa4CoIr3
Radiation: Cu Kα, 1.54184 Å
Structure: DFT lattice parameters and positions (GGA-PBE)
No peak broadening, texture or thermal motion is included.

Atomic structure:
a = 6.898 Å, b = 6.770 Å, c = 5.633 Å
α = 66.85°, β = 64.49°, γ = 48.67°
Sites, in units of the cell vectors:
Pa  0.000  0.000  0.500
Pa  0.241  0.241  0.759
Pa  0.500  0.500  0.000
Pa  0.759  0.759  0.241
Co  0.000  0.000  0.000
Ir  0.250  0.250  0.250
Ir  0.500  0.500  0.500
Ir  0.750  0.750  0.750

Main lines, in order of falling intensity (10° ≤ 2θ ≤ 80°):
d 2.812, 2θ = 31.8°, rel. 100; d 1.976, 2θ = 45.9°, rel. 73; d 2.777, 2θ = 32.2°, rel. 48; d 1.647, 2θ = 55.8°, rel. 21; d 2.045, 2θ = 44.3°, rel. 20; d 1.588, 2θ = 58.1°, rel. 18; d 1.936, 2θ = 46.9°, rel. 17; d 1.254, 2θ = 75.8°, rel. 17; d 1.245, 2θ = 76.5°, rel. 16; d 1.406, 2θ = 66.5°, rel. 13; d 1.286, 2θ = 73.7°, rel. 9; d 1.231, 2θ = 77.5°, rel. 8

=====

6.
Calculated X-ray powder pattern
Compound: TiS2
Radiation: Cu Kα, 1.54184 Å
Structure: DFT lattice parameters and positions (GGA-PBE)
No peak broadening, texture or thermal motion is included.

Atomic structure:
a = 7.145 Å, b = 7.145 Å, c = 7.145 Å
α = 27.56°, β = 27.56°, γ = 27.56°
Sites, in units of the cell vectors:
Ti  0.000  0.000  0.000
S  0.403  0.403  0.403
S  0.597  0.597  0.597

Main lines, in order of falling intensity (10° ≤ 2θ ≤ 80°):
d 6.870, 2θ = 12.9°, rel. 100; d 2.398, 2θ = 37.5°, rel. 56; d 2.834, 2θ = 31.6°, rel. 36; d 1.702, 2θ = 53.9°, rel. 18; d 1.689, 2θ = 54.3°, rel. 17; d 2.083, 2θ = 43.4°, rel. 16; d 1.652, 2θ = 55.6°, rel. 10; d 1.388, 2θ = 67.5°, rel. 9; d 1.940, 2θ = 46.8°, rel. 8; d 1.209, 2θ = 79.2°, rel. 5; d 1.459, 2θ = 63.8°, rel. 4; d 1.318, 2θ = 71.6°, rel. 3

=====

7.
Calculated X-ray powder pattern
Compound: Ba4LiGa5Se12
Radiation: Cu Kα, 1.54184 Å
Structure: DFT lattice parameters and positions (GGA-PBE)
No peak broadening, texture or thermal motion is included.

Atomic structure:
a = 13.881 Å, b = 13.881 Å, c = 6.600 Å
α = 90.00°, β = 90.00°, γ = 90.00°
Sites, in units of the cell vectors:
Ba  0.020  0.307  0.052
Ba  0.193  0.480  0.552
Ba  0.307  0.980  0.948
Ba  0.480  0.807  0.448
Ba  0.520  0.193  0.448
Ba  0.693  0.020  0.948
Ba  0.807  0.520  0.552
Ba  0.980  0.693  0.052
Li  0.000  0.000  0.000
Li  0.500  0.500  0.500
Ga  0.000  0.000  0.500
Ga  0.142  0.756  0.552
Ga  0.244  0.142  0.448
Ga  0.256  0.642  0.052
Ga  0.358  0.256  0.948
Ga  0.500  0.500  0.000
Ga  0.642  0.744  0.948
Ga  0.744  0.358  0.052
Ga  0.756  0.858  0.448
Ga  0.858  0.244  0.552
Se  0.014  0.641  0.551
Se  0.096  0.096  0.265
Se  0.096  0.904  0.735
Se  0.141  0.514  0.051
Se  0.196  0.792  0.206
Se  0.208  0.196  0.794
Se  0.292  0.696  0.706
Se  0.304  0.292  0.294
Se  0.359  0.014  0.449
Se  0.404  0.404  0.765
Se  0.404  0.596  0.235
Se  0.486  0.141  0.949
Se  0.514  0.859  0.949
Se  0.596  0.404  0.235
Se  0.596  0.596  0.765
Se  0.641  0.986  0.449
Se  0.696  0.708  0.294
Se  0.708  0.304  0.706
Se  0.792  0.804  0.794
Se  0.804  0.208  0.206
Se  0.859  0.486  0.051
Se  0.904  0.096  0.735
Se  0.904  0.904  0.265
Se  0.986  0.359  0.551

Main lines, in order of falling intensity (10° ≤ 2θ ≤ 80°):
d 3.272, 2θ = 27.3°, rel. 100; d 2.999, 2θ = 29.8°, rel. 57; d 3.325, 2θ = 26.8°, rel. 55; d 2.401, 2θ = 37.5°, rel. 50; d 3.128, 2θ = 28.5°, rel. 49; d 3.655, 2θ = 24.4°, rel. 42; d 1.910, 2θ = 47.6°, rel. 39; d 3.211, 2θ = 27.8°, rel. 33; d 2.638, 2θ = 34.0°, rel. 27; d 2.738, 2θ = 32.7°, rel. 26; d 2.124, 2θ = 42.6°, rel. 24; d 4.522, 2θ = 19.6°, rel. 24

=====

8.
Calculated X-ray powder pattern
Compound: Cs2YBr7
Radiation: Cu Kα, 1.54184 Å
Structure: DFT lattice parameters and positions (GGA-PBE)
No peak broadening, texture or thermal motion is included.

Atomic structure:
a = 8.361 Å, b = 8.361 Å, c = 8.361 Å
α = 114.84°, β = 114.84°, γ = 99.20°
Sites, in units of the cell vectors:
Cs  0.250  0.750  0.500
Cs  0.750  0.250  0.500
Y  0.000  0.000  0.000
Br  0.217  0.217  0.433
Br  0.217  0.783  0.000
Br  0.267  0.267  0.000
Br  0.500  0.500  0.000
Br  0.733  0.733  0.000
Br  0.783  0.217  0.000
Br  0.783  0.783  0.567

Main lines, in order of falling intensity (10° ≤ 2θ ≤ 80°):
d 3.183, 2θ = 28.0°, rel. 100; d 3.463, 2θ = 25.7°, rel. 98; d 2.063, 2θ = 43.9°, rel. 55; d 4.127, 2θ = 21.5°, rel. 42; d 2.709, 2θ = 33.1°, rel. 35; d 2.251, 2θ = 40.1°, rel. 33; d 1.731, 2θ = 52.9°, rel. 28; d 4.502, 2θ = 19.7°, rel. 27; d 1.887, 2θ = 48.2°, rel. 23; d 1.678, 2θ = 54.7°, rel. 19; d 2.521, 2θ = 35.6°, rel. 15; d 1.260, 2θ = 75.4°, rel. 14